For Y3Sn2, a DFT-relaxed cell (PBE, Alexandria) gives the simulated powder XRD pattern in this record (Cu Ka).

Structural model:
Cell: 11.9961 4.4035 11.4960 Å, 90.00 90.00 90.00°
Element x y z (fractional)
1 Y 0.0517 0.2500 0.1306
2 Y 0.1264 0.7500 0.5599
3 Y 0.2251 0.2500 0.7936
4 Y 0.2749 0.7500 0.2936
5 Y 0.3736 0.2500 0.0599
6 Y 0.4483 0.7500 0.6306
7 Y 0.5517 0.2500 0.3694
8 Y 0.6264 0.7500 0.9401
9 Y 0.7251 0.2500 0.7064
10 Y 0.7749 0.7500 0.2064
11 Y 0.8736 0.2500 0.4401
12 Y 0.9483 0.7500 0.8694
13 Sn 0.0109 0.7500 0.3165
14 Sn 0.1892 0.7500 0.9957
15 Sn 0.3108 0.2500 0.4957
16 Sn 0.4891 0.2500 0.8165
17 Sn 0.5109 0.7500 0.1835
18 Sn 0.6892 0.7500 0.5043
19 Sn 0.8108 0.2500 0.0043
20 Sn 0.9891 0.2500 0.6835

Main lines, sorted by position (15° ≤ 2θ ≤ 90°):
hkl 1 1 2, 2θ 26.56, I = 76; hkl 2 1 2, 2θ 29.58, I = 100; hkl 0 1 3, 2θ 30.93, I = 99; hkl 3 1 1, 2θ 31.20, I = 71; hkl 1 1 3, 2θ 31.84, I = 96; hkl 3 1 2, 2θ 34.07, I = 98; hkl 4 1 1, 2θ 37.10, I = 73; hkl 0 2 0, 2θ 40.99, I = 98